(1)
# BaNaPb2F8
Calculated X-ray powder pattern, CuKα. Input: a cell relaxed with PBE.
Neutral-atom scattering factors, no anomalous dispersion.

Top 8 peaks for 2θ from 15° to 90°, low angle first:
d [Å], two_theta, intensity, hkl
5.882, 15.1, 39, 0 1 0
3.415, 26.1, 100, 1 1 0
3.402, 26.2, 96, 0 1 2
2.958, 30.2, 33, 1 0 2
2.085, 43.4, 98, 1 2 2
1.785, 51.2, 31, 2 1 2
1.780, 51.3, 28, 1 1 4
1.775, 51.5, 31, 1 3 0

```
data_BaNaPb2F8
_cell_length_a 4.195
_cell_length_b 5.882
_cell_length_c 8.342
_cell_angle_alpha 90.00
_cell_angle_beta 90.00
_cell_angle_gamma 90.00
_space_group_name_H-M_alt 'P m m m'
_space_group_IT_number 47
_space_group_name_Hall '-P 2 2'
loop_
_atom_site_label
_atom_site_fract_x
_atom_site_fract_y
_atom_site_fract_z
Ba1 0.000 0.000 0.000
Na1 0.000 0.000 0.500
Pb1 0.500 0.500 0.268
F1 0.000 0.268 0.262
F2 0.500 0.262 0.500
F3 0.500 0.272 0.000
```

***

(2)
# BaNa4Pd3F12
Calculated X-ray powder pattern, CuKα. Input: a cell relaxed with PBE.
Neutral-atom scattering factors, no anomalous dispersion.

Top 8 peaks for 2θ from 15° to 90°, low angle first:
d [Å], two_theta, intensity, hkl
4.169, 21.3, 63, 2 0 0
2.948, 30.3, 100, 2 2 0
2.407, 37.4, 28, 2 2 2
2.084, 43.4, 25, 4 0 0
1.864, 48.8, 22, 4 2 0
1.702, 53.9, 59, 4 2 2
1.318, 71.6, 20, 6 0 2
1.114, 87.6, 22, 6 4 2

```
data_BaNa4Pd3F12
_cell_length_a 8.338
_cell_length_b 8.338
_cell_length_c 8.338
_cell_angle_alpha 90.00
_cell_angle_beta 90.00
_cell_angle_gamma 90.00
_space_group_name_H-M_alt 'I m -3'
_space_group_IT_number 204
_space_group_name_Hall '-I 2 2 3'
loop_
_atom_site_label
_atom_site_fract_x
_atom_site_fract_y
_atom_site_fract_z
Ba1 0.000 0.000 0.000
Na1 0.250 0.250 0.250
Pd1 0.000 0.000 0.500
F1 0.000 0.156 0.314
```

***

(3)
# BaNaTlF6
Calculated X-ray powder pattern, CuKα. Input: a cell relaxed with PBE.
Neutral-atom scattering factors, no anomalous dispersion.

Top 8 peaks for 2θ from 15° to 90°, low angle first:
d [Å], two_theta, intensity, hkl
4.671, 19.0, 66, 1 0 1
3.784, 23.5, 100, 1 0 2
3.017, 29.6, 20, 1 0 3
2.968, 30.1, 39, 1 1 0
2.335, 38.6, 26, 2 0 2
2.035, 44.5, 50, 1 1 4
1.835, 49.7, 26, 2 1 2
1.714, 53.5, 18, 3 0 0

```
data_BaNaTlF6
_cell_length_a 5.9363
_cell_length_b 5.9363
_cell_length_c 11.1782
_cell_angle_alpha 90.00
_cell_angle_beta 90.00
_cell_angle_gamma 120.00
_space_group_name_H-M_alt 'P -3 1 c'
_space_group_IT_number 163
_space_group_name_Hall '-P 3 2c'
loop_
_atom_site_label
_atom_site_fract_x
_atom_site_fract_y
_atom_site_fract_z
Ba1 0.0000 0.0000 0.0000
Na1 0.3333 0.6667 0.2500
Tl1 0.3333 0.6667 0.7500
F1 0.0166 0.3662 0.6408
```